No. 1
Simulated powder diffractogram
Compound: Sr8MgMn6O20
Radiation: copper Kα
Structure: a GGA+U-relaxed structure
Kinematic intensities with the Lorentz-polarization factor, no thermal factor.

Crystal structure
abc: 5.686 6.673 14.220
angles: 85.65 83.90 67.14
Space group P1 (No. 1)
Unique sites:
Sr1 0.000 0.000 0.000 [1 per cell]
Sr2 0.023 0.977 0.473 [1 per cell]
Sr3 0.310 0.401 0.470 [1 per cell]
Sr4 0.349 0.533 0.212 [1 per cell]
Sr5 0.490 0.966 0.680 [1 per cell]
Sr6 0.587 0.670 0.913 [1 per cell]
Sr7 0.631 0.937 0.262 [1 per cell]
Sr8 0.765 0.382 0.694 [1 per cell]
Mg1 0.916 0.501 0.075 [1 per cell]
Mn1 0.044 0.166 0.215 [1 per cell]
Mn2 0.118 0.697 0.677 [1 per cell]
Mn3 0.231 0.466 0.836 [1 per cell]
Mn4 0.426 0.257 0.993 [1 per cell]
Mn5 0.654 0.705 0.493 [1 per cell]
Mn6 0.824 0.465 0.343 [1 per cell]
O1 0.054 0.909 0.169 [1 per cell]
O2 0.155 0.582 0.971 [1 per cell]
O3 0.186 0.227 0.908 [1 per cell]
O4 0.189 0.266 0.315 [1 per cell]
O5 0.233 0.260 0.113 [1 per cell]
O6 0.297 0.362 0.710 [1 per cell]
O7 0.334 0.700 0.780 [1 per cell]
O8 0.393 0.661 0.581 [1 per cell]
O9 0.470 0.659 0.364 [1 per cell]
O10 0.509 0.010 0.502 [1 per cell]
O11 0.577 0.313 0.871 [1 per cell]
O12 0.601 0.957 0.007 [1 per cell]
O13 0.657 0.374 0.051 [1 per cell]
O14 0.757 0.218 0.308 [1 per cell]
O15 0.809 0.559 0.209 [1 per cell]
O16 0.816 0.381 0.475 [1 per cell]
O17 0.898 0.648 0.786 [1 per cell]
O18 0.913 0.653 0.591 [1 per cell]
O19 0.916 0.694 0.383 [1 per cell]
O20 0.963 0.001 0.658 [1 per cell]

Main lines, low angle first (10° ≤ 2θ ≤ 80°):
d/Å, 2θ/deg, I (rel.), h k l
3.532, 25.21, 51.3, 0 0 4
3.060, 29.19, 68.4, 1 2 2
3.018, 29.60, 51.5, -1 1 2
2.853, 31.35, 50.9, 1 2 -2
2.826, 31.66, 100.0, 2 1 0
2.795, 32.02, 42.7, 1 -1 3
2.115, 42.76, 23.1, 2 1 5
2.098, 43.11, 30.7, 2 1 -4

---

No. 2
Simulated powder diffractogram
Compound: Sr8MgMn6O20
Radiation: copper Kα
Structure: a GGA+U-relaxed structure
Kinematic intensities with the Lorentz-polarization factor, no thermal factor.

Crystal structure
abc: 5.616 6.729 13.605
angles: 89.71 88.39 69.14
Space group P1 (No. 1)
Unique sites:
Sr1 0.000 0.000 0.000 [1 per cell]
Sr2 0.014 0.873 0.258 [1 per cell]
Sr3 0.186 0.461 0.458 [1 per cell]
Sr4 0.273 0.411 0.017 [1 per cell]
Sr5 0.480 0.866 0.473 [1 per cell]
Sr6 0.620 0.967 0.807 [1 per cell]
Sr7 0.694 0.439 0.674 [1 per cell]
Sr8 0.732 0.455 0.213 [1 per cell]
Mg1 0.276 0.148 0.670 [1 per cell]
Mn1 0.196 0.650 0.782 [1 per cell]
Mn2 0.346 0.188 0.269 [1 per cell]
Mn3 0.510 0.930 0.121 [1 per cell]
Mn4 0.672 0.663 0.974 [1 per cell]
Mn5 0.813 0.187 0.459 [1 per cell]
Mn6 0.983 0.932 0.621 [1 per cell]
O1 0.059 0.192 0.346 [1 per cell]
O2 0.060 0.185 0.559 [1 per cell]
O3 0.176 0.143 0.149 [1 per cell]
O4 0.229 0.485 0.270 [1 per cell]
O5 0.341 0.345 0.763 [1 per cell]
O6 0.342 0.802 0.648 [1 per cell]
O7 0.392 0.710 0.075 [1 per cell]
O8 0.467 0.676 0.860 [1 per cell]
O9 0.496 0.857 0.258 [1 per cell]
O10 0.510 0.005 0.984 [1 per cell]
O11 0.557 0.154 0.379 [1 per cell]
O12 0.623 0.093 0.602 [1 per cell]
O13 0.633 0.143 0.166 [1 per cell]
O14 0.644 0.482 0.477 [1 per cell]
O15 0.804 0.380 0.994 [1 per cell]
O16 0.842 0.723 0.095 [1 per cell]
O17 0.935 0.696 0.684 [1 per cell]
O18 0.954 0.697 0.901 [1 per cell]
O19 0.981 0.072 0.746 [1 per cell]
O20 0.995 0.856 0.476 [1 per cell]

Main lines, low angle first (10° ≤ 2θ ≤ 80°):
d/Å, 2θ/deg, I (rel.), h k l
3.399, 26.22, 75.4, 0 0 4
3.062, 29.17, 62.3, -1 1 2
2.950, 30.29, 69.5, 1 2 2
2.923, 30.58, 57.5, 1 2 -2
2.801, 31.95, 100.0, 2 1 0
2.783, 32.17, 87.5, 1 -1 3
2.629, 34.10, 45.3, 1 2 -3
2.133, 42.37, 75.0, 2 1 -4

---

No. 3
Simulated powder diffractogram
Compound: Sr8MgMn6O20
Radiation: copper Kα
Structure: a GGA+U-relaxed structure
Kinematic intensities with the Lorentz-polarization factor, no thermal factor.

Crystal structure
abc: 5.777 6.807 13.498
angles: 87.16 87.57 67.58
Space group P1 (No. 1)
Unique sites:
Sr1 0.000 0.000 0.000 [1 per cell]
Sr2 0.037 0.280 0.285 [1 per cell]
Sr3 0.137 0.972 0.547 [1 per cell]
Sr4 0.278 0.548 0.753 [1 per cell]
Sr5 0.330 0.391 0.015 [1 per cell]
Sr6 0.575 0.959 0.792 [1 per cell]
Sr7 0.632 0.015 0.352 [1 per cell]
Sr8 0.835 0.560 0.533 [1 per cell]
Mg1 0.554 0.625 0.227 [1 per cell]
Mn1 0.084 0.737 0.222 [1 per cell]
Mn2 0.335 0.526 0.397 [1 per cell]
Mn3 0.496 0.245 0.554 [1 per cell]
Mn4 0.637 0.716 0.033 [1 per cell]
Mn5 0.798 0.473 0.885 [1 per cell]
Mn6 0.964 0.227 0.738 [1 per cell]
O1 0.081 0.931 0.736 [1 per cell]
O2 0.127 0.256 0.862 [1 per cell]
O3 0.249 0.229 0.663 [1 per cell]
O4 0.255 0.275 0.443 [1 per cell]
O5 0.321 0.575 0.539 [1 per cell]
O6 0.336 0.720 0.109 [1 per cell]
O7 0.356 0.441 0.257 [1 per cell]
O8 0.393 0.779 0.347 [1 per cell]
O9 0.469 0.692 0.910 [1 per cell]
O10 0.539 0.006 0.025 [1 per cell]
O11 0.658 0.951 0.537 [1 per cell]
O12 0.674 0.270 0.838 [1 per cell]
O13 0.688 0.350 0.405 [1 per cell]
O14 0.765 0.266 0.624 [1 per cell]
O15 0.769 0.394 0.021 [1 per cell]
O16 0.821 0.557 0.746 [1 per cell]
O17 0.848 0.630 0.156 [1 per cell]
O18 0.915 0.024 0.209 [1 per cell]
O19 0.920 0.677 0.938 [1 per cell]
O20 0.986 0.678 0.365 [1 per cell]

Main lines, low angle first (10° ≤ 2θ ≤ 80°):
d/Å, 2θ/deg, I (rel.), h k l
3.367, 26.47, 80.6, 0 0 4
3.086, 28.93, 100.0, -1 1 2
3.041, 29.37, 57.1, 1 2 2
2.914, 30.69, 71.0, 1 2 -2
2.882, 31.03, 79.7, 2 1 0
2.844, 31.45, 47.1, 2 1 1
2.742, 32.66, 53.9, 1 -1 3
2.067, 43.80, 44.0, 1 3 3